# Pr6Te3AsPt2
Theoretical XRD peak list, a wavelength of 1.5418 Å. Input: a PBE-relaxed structure.
Kinematic intensities with the Lorentz-polarization factor, no thermal factor.

Top 10 peaks for 2θ from 15° to 90°, most intense first:
2θ 28.6, I = 100; 2θ 41.6, I = 37; 2θ 40.0, I = 25; 2θ 51.2, I = 13; 2θ 40.1, I = 12; 2θ 68.0, I = 11; 2θ 65.7, I = 10; 2θ 74.8, I = 8; 2θ 59.1, I = 8; 2θ 51.4, I = 6

Structural model:
abc: 7.5223 7.5223 7.9187
angles: 99.19 99.19 120.10
Element x y z (fractional)
Pr (0.0887, 0.4272, 0.7798)
Pr (0.2338, 0.2338, 0.2195)
Pr (0.4272, 0.0887, 0.7798)
Pr (0.5728, 0.9113, 0.2202)
Pr (0.7662, 0.7662, 0.7805)
Pr (0.9113, 0.5728, 0.2202)
Te (0.0000, 0.0000, 0.5000)
Te (0.3370, 0.6630, 0.5000)
Te (0.6630, 0.3370, 0.5000)
As (0.5000, 0.5000, 0.0000)
Pt (0.1676, 0.8324, 0.0000)
Pt (0.8324, 0.1676, 0.0000)



# Pr2PuAs3
Theoretical XRD peak list, a wavelength of 1.5418 Å. Input: a PBE-relaxed structure.
Kinematic intensities with the Lorentz-polarization factor, no thermal factor.

Top 10 peaks for 2θ from 15° to 90°, most intense first:
2θ 29.7, I = 100; 2θ 42.5, I = 76; 2θ 25.6, I = 27; 2θ 52.7, I = 27; 2θ 77.8, I = 26; 2θ 69.9, I = 23; 2θ 50.3, I = 14; 2θ 70.0, I = 11; 2θ 61.6, I = 8; 2θ 67.9, I = 6

Structural model:
abc: 9.5024 9.5024 9.5024
angles: 154.12 154.12 36.93
Element x y z (fractional)
Pr (0.1673, 0.1673, 0.0000)
Pr (0.8327, 0.8327, 0.0000)
Pu (0.5000, 0.5000, 0.0000)
As (0.0000, 0.0000, 0.0000)
As (0.3368, 0.3368, 0.0000)
As (0.6632, 0.6632, 0.0000)



# Pr2PuAs
Theoretical XRD peak list, a wavelength of 1.5418 Å. Input: a PBE-relaxed structure.
Kinematic intensities with the Lorentz-polarization factor, no thermal factor.

Top 10 peaks for 2θ from 15° to 90°, most intense first:
2θ 28.7, I = 100; 2θ 36.4, I = 38; 2θ 45.3, I = 32; 2θ 30.3, I = 27; 2θ 54.4, I = 18; 2θ 28.5, I = 18; 2θ 54.5, I = 17; 2θ 49.6, I = 15; 2θ 25.9, I = 14; 2θ 73.5, I = 14

Structural model:
abc: 9.6759 9.6759 9.6759
angles: 23.88 23.88 23.88
Element x y z (fractional)
Pr (0.2310, 0.2310, 0.2310)
Pr (0.7690, 0.7690, 0.7690)
Pu (0.0000, 0.0000, 0.0000)
As (0.5000, 0.5000, 0.5000)



# PrAs2Rh2
Theoretical XRD peak list, a wavelength of 1.5418 Å. Input: a PBE-relaxed structure.
Kinematic intensities with the Lorentz-polarization factor, no thermal factor.

Top 10 peaks for 2θ from 15° to 90°, most intense first:
2θ 34.4, I = 100; 2θ 41.9, I = 68; 2θ 33.9, I = 67; 2θ 55.0, I = 33; 2θ 50.1, I = 24; 2θ 71.8, I = 23; 2θ 60.8, I = 22; 2θ 67.3, I = 19; 2θ 46.9, I = 19; 2θ 63.4, I = 15

Structural model:
abc: 4.3091 4.3091 10.0513
angles: 90.00 90.00 90.00
Element x y z (fractional)
Pr (0.2500, 0.2500, 0.2467)
Pr (0.7500, 0.7500, 0.7533)
As (0.2500, 0.2500, 0.6362)
As (0.2500, 0.7500, 0.0000)
As (0.7500, 0.2500, 0.0000)
As (0.7500, 0.7500, 0.3638)
Rh (0.2500, 0.2500, 0.8794)
Rh (0.2500, 0.7500, 0.5000)
Rh (0.7500, 0.2500, 0.5000)
Rh (0.7500, 0.7500, 0.1206)



# Pr2As4Rh3
Theoretical XRD peak list, a wavelength of 1.5418 Å. Input: a PBE-relaxed structure.
Kinematic intensities with the Lorentz-polarization factor, no thermal factor.

Top 10 peaks for 2θ from 15° to 90°, most intense first:
2θ 37.9, I = 100; 2θ 31.8, I = 46; 2θ 43.2, I = 30; 2θ 36.5, I = 29; 2θ 60.7, I = 25; 2θ 43.3, I = 22; 2θ 28.0, I = 20; 2θ 64.5, I = 20; 2θ 39.4, I = 20; 2θ 80.9, I = 14

Structural model:
abc: 8.0432 6.8669 5.7794
angles: 78.47 56.78 44.75
Element x y z (fractional)
Pr (0.1410, 0.1410, 0.8590)
Pr (0.8590, 0.8590, 0.1410)
As (0.1879, 0.5079, 0.4921)
As (0.4921, 0.8121, 0.1879)
As (0.5079, 0.1879, 0.8121)
As (0.8121, 0.4921, 0.5079)
Rh (0.0000, 0.0000, 0.5000)
Rh (0.5000, 0.5000, 0.0000)
Rh (0.5000, 0.5000, 0.5000)



# Pr2TmAs3Rh12
Theoretical XRD peak list, a wavelength of 1.5418 Å. Input: a PBE-relaxed structure.
Kinematic intensities with the Lorentz-polarization factor, no thermal factor.

Top 10 peaks for 2θ from 15° to 90°, most intense first:
2θ 39.3, I = 100; 2θ 41.5, I = 28; 2θ 28.3, I = 22; 2θ 71.2, I = 16; 2θ 36.4, I = 16; 2θ 46.2, I = 14; 2θ 58.6, I = 13; 2θ 72.7, I = 11; 2θ 84.5, I = 10; 2θ 35.7, I = 10

Structural model:
abc: 6.8436 6.8436 6.8436
angles: 84.19 84.19 84.19
Element x y z (fractional)
Pr (0.1432, 0.1432, 0.1432)
Pr (0.8568, 0.8568, 0.8568)
Tm (0.5000, 0.5000, 0.5000)
As (0.0000, 0.5000, 0.5000)
As (0.5000, 0.0000, 0.5000)
As (0.5000, 0.5000, 0.0000)
Rh (0.1219, 0.1219, 0.6020)
Rh (0.1219, 0.6020, 0.1219)
Rh (0.1812, 0.6836, 0.6836)
Rh (0.3164, 0.3164, 0.8188)
Rh (0.3164, 0.8188, 0.3164)
Rh (0.3980, 0.8781, 0.8781)
Rh (0.6019, 0.1219, 0.1219)
Rh (0.6836, 0.1812, 0.6836)
Rh (0.6836, 0.6836, 0.1812)
Rh (0.8188, 0.3164, 0.3164)
Rh (0.8781, 0.3981, 0.8781)
Rh (0.8781, 0.8781, 0.3981)